Entry 1:
Structure and theoretical PXRD pattern of Pm3Nd2Sm5 (a DFT-relaxed cell (PBE, Alexandria); a wavelength of 1.5418 Å).

Atomic structure:
```
data_Pm3Nd2Sm5
_chemical_formula_sum 'Pm12 Nd8 Sm20'
_space_group_name_H-M_alt 'C 1 2/c 1'
_space_group_IT_number 15
_cell_length_a 10.869
_cell_length_b 16.300
_cell_length_c 9.560
_cell_angle_alpha 90.00
_cell_angle_beta 124.60
_cell_angle_gamma 90.00
loop_
_space_group_symop_operation_xyz
'x,y,z'
'-x,-y,-z'
'-x,y,-z+1/2'
'x,-y,z+1/2'
'x+1/2,y+1/2,z'
'-x+1/2,-y+1/2,-z'
'-x+1/2,y+1/2,-z+1/2'
'x+1/2,-y+1/2,z+1/2'
loop_
_atom_site_label
_atom_site_type_symbol
_atom_site_fract_x
_atom_site_fract_y
_atom_site_fract_z
_atom_site_occupancy
Pm1 Pm 0.000 0.020 0.250 1
Pm2 Pm 0.157 0.377 0.547 1
Nd1 Nd 0.140 0.128 0.047 1
Sm1 Sm 0.000 0.229 0.250 1
Sm2 Sm 0.000 0.277 0.750 1
Sm3 Sm 0.000 0.473 0.750 1
Sm4 Sm 0.233 0.375 0.217 1
```

Top 6 peaks for 10 to 90 degrees two-theta, sorted by position:
29.66°, I = 100; 30.11°, I = 94; 31.61°, I = 23; 32.96°, I = 45; 59.66°, I = 20; 64.18°, I = 22

***

Entry 2:
Structure and theoretical PXRD pattern of Pm3NdSm8 (a DFT-relaxed cell (PBE, Alexandria); a wavelength of 1.5418 Å).

Atomic structure:
```
data_Pm3NdSm8
_chemical_formula_sum 'Pm6 Nd2 Sm16'
_space_group_name_H-M_alt 'I m m m'
_space_group_IT_number 71
_space_group_name_Hall '-I 2 2'
_cell_length_a 6.562
_cell_length_b 11.482
_cell_length_c 11.644
_cell_angle_alpha 90.00
_cell_angle_beta 90.00
_cell_angle_gamma 90.00
loop_
_atom_site_label
_atom_site_type_symbol
_atom_site_fract_x
_atom_site_fract_y
_atom_site_fract_z
_atom_site_occupancy
Pm1 Pm 0.000 0.000 0.000 1
Pm2 Pm 0.000 0.500 0.251 1
Nd1 Nd 0.000 0.000 0.500 1
Sm1 Sm 0.000 0.168 0.250 1
Sm2 Sm 0.249 0.251 0.500 1
```

Top 6 peaks for 10 to 90 degrees two-theta, sorted by position:
30.71°, I = 51; 31.11°, I = 100; 31.30°, I = 44; 31.40°, I = 24; 35.07°, I = 37; 64.86°, I = 24

***

Entry 3:
Structure and theoretical PXRD pattern of Pm7Nd12Sm (a DFT-relaxed cell (PBE, Alexandria); a wavelength of 1.5418 Å).

Atomic structure:
```
data_Pm7Nd12Sm
_chemical_formula_sum 'Pm21 Nd36 Sm3'
_space_group_name_H-M_alt 'R -3 m'
_space_group_IT_number 166
_space_group_name_Hall '-R 3 2"'
_cell_length_a 13.6697
_cell_length_b 13.6697
_cell_length_c 12.9141
_cell_angle_alpha 90.00
_cell_angle_beta 90.00
_cell_angle_gamma 120.00
loop_
_atom_site_label
_atom_site_type_symbol
_atom_site_fract_x
_atom_site_fract_y
_atom_site_fract_z
_atom_site_occupancy
Pm1 Pm 0.0000 0.0000 0.0000 1
Pm2 Pm 0.0453 0.5227 0.1146 1
Nd1 Nd 0.0000 0.2601 0.0000 1
Nd2 Nd 0.0884 0.1769 0.7662 1
Sm1 Sm 0.0000 0.0000 0.5000 1
```

Top 6 peaks for 10 to 90 degrees two-theta, sorted by position:
28.66°, I = 54; 30.54°, I = 72; 30.74°, I = 72; 31.00°, I = 100; 33.30°, I = 42; 55.10°, I = 31